Record 1
Starting from a structure optimized by DFT (GGA-PBE), the X-ray diffraction stick pattern of InBF4 was computed for Cu Kα (λ = 1.5418 Å).
Peak positions follow from Bragg's law for the DFT cell and can differ from measured ones.

Structure:
```
InBF4
1.0
9.232 0.000 0.000
0.000 5.793 0.000
0.000 0.000 7.447
In B F
4 4 16
direct
0.186 0.250 0.168 In
0.314 0.750 0.668 In
0.686 0.250 0.332 In
0.814 0.750 0.832 In
0.062 0.250 0.688 B
0.438 0.750 0.188 B
0.562 0.250 0.812 B
0.938 0.750 0.312 B
0.075 0.750 0.394 F
0.077 0.050 0.799 F
0.077 0.450 0.799 F
0.174 0.250 0.558 F
0.326 0.750 0.058 F
0.423 0.550 0.299 F
0.423 0.950 0.299 F
0.425 0.250 0.894 F
0.575 0.750 0.106 F
0.577 0.050 0.701 F
0.577 0.450 0.701 F
0.674 0.250 0.942 F
0.826 0.750 0.442 F
0.923 0.550 0.201 F
0.923 0.950 0.201 F
0.925 0.250 0.606 F
```

Principal peaks in the range 10° ≤ 2θ ≤ 90°, by intensity:
d = 2.217 Å, 40.70°, rel. 100; d = 3.248 Å, 27.46°, rel. 84; d = 3.610 Å, 24.66°, rel. 76; d = 3.453 Å, 25.80°, rel. 50; d = 4.572 Å, 19.41°, rel. 46; d = 2.330 Å, 38.64°, rel. 42; d = 2.195 Å, 41.12°, rel. 40; d = 4.097 Å, 21.69°, rel. 38; d = 2.896 Å, 30.87°, rel. 38; d = 2.966 Å, 30.13°, rel. 35


Record 2
Starting from a structure optimized by DFT (GGA-PBE), the X-ray diffraction stick pattern of KB6F6 was computed for Cu Kα (λ = 1.5418 Å).
Peak positions follow from Bragg's law for the DFT cell and can differ from measured ones.

Structure:
```
KB6F6
1.0
4.171 -7.256 0.000
4.171 7.256 0.000
-0.588 0.000 11.519
K B F
4 24 24
direct
0.000 0.000 0.000 K
0.000 0.000 0.500 K
0.333 0.667 0.750 K
0.667 0.333 0.250 K
0.135 0.475 0.198 B
0.136 0.600 0.327 B
0.160 0.700 0.188 B
0.259 0.476 0.328 B
0.298 0.638 0.101 B
0.300 0.840 0.312 B
0.359 0.501 0.189 B
0.362 0.702 0.399 B
0.400 0.864 0.173 B
0.475 0.135 0.698 B
0.476 0.259 0.828 B
0.499 0.641 0.311 B
0.501 0.359 0.689 B
0.524 0.741 0.172 B
0.525 0.865 0.302 B
0.600 0.136 0.827 B
0.638 0.298 0.601 B
0.641 0.499 0.811 B
0.700 0.160 0.688 B
0.702 0.362 0.899 B
0.741 0.524 0.672 B
0.840 0.300 0.812 B
0.864 0.400 0.673 B
0.865 0.525 0.802 B
0.022 0.690 0.842 F
0.024 0.733 0.142 F
0.026 0.451 0.614 F
0.198 0.313 0.387 F
0.267 0.976 0.358 F
0.271 0.609 0.981 F
0.310 0.978 0.658 F
0.313 0.198 0.887 F
0.355 0.377 0.641 F
0.377 0.355 0.141 F
0.391 0.729 0.519 F
0.451 0.026 0.114 F
0.549 0.974 0.886 F
0.609 0.271 0.481 F
0.623 0.645 0.859 F
0.645 0.623 0.359 F
0.687 0.802 0.113 F
0.690 0.022 0.342 F
0.729 0.391 0.019 F
0.733 0.024 0.642 F
0.802 0.687 0.613 F
0.974 0.549 0.386 F
0.976 0.267 0.858 F
0.978 0.310 0.158 F
```

Principal peaks in the range 10° ≤ 2θ ≤ 90°, by intensity:
d = 7.238 Å, 12.23°, rel. 100; d = 2.408 Å, 37.34°, rel. 91; d = 2.625 Å, 34.16°, rel. 76; d = 2.690 Å, 33.30°, rel. 74; d = 2.657 Å, 33.74°, rel. 74; d = 2.344 Å, 38.40°, rel. 72; d = 2.401 Å, 37.46°, rel. 70; d = 2.264 Å, 39.81°, rel. 66; d = 4.180 Å, 21.25°, rel. 62; d = 4.511 Å, 19.68°, rel. 57


Record 3
Starting from a structure optimized by DFT (GGA-PBE), the X-ray diffraction stick pattern of K3Na4Si3BF22 was computed for Cu Kα (λ = 1.5418 Å).
Peak positions follow from Bragg's law for the DFT cell and can differ from measured ones.

Structure:
```
K3Na4Si3BF22
1.0
-2.813 8.704 4.655
2.813 -8.704 4.655
2.813 8.704 -4.655
K Na Si B F
3 4 3 1 22
direct
0.000 0.000 0.000 K
0.536 0.162 0.374 K
0.788 0.162 0.626 K
0.199 0.341 0.858 Na
0.264 0.594 0.670 Na
0.483 0.341 0.142 Na
0.923 0.594 0.330 Na
0.140 0.926 0.214 Si
0.241 0.741 0.500 Si
0.712 0.926 0.786 Si
0.631 0.631 0.000 B
0.055 0.555 0.500 F
0.058 0.131 0.362 F
0.058 0.696 0.928 F
0.164 0.519 0.214 F
0.164 0.950 0.644 F
0.228 0.162 0.500 F
0.228 0.728 0.066 F
0.305 0.519 0.356 F
0.305 0.950 0.786 F
0.314 0.111 0.203 F
0.422 0.922 0.500 F
0.479 0.546 0.933 F
0.519 0.745 0.774 F
0.613 0.546 0.067 F
0.662 0.162 0.934 F
0.662 0.728 0.500 F
0.720 0.514 0.794 F
0.720 0.926 0.206 F
0.768 0.131 0.072 F
0.768 0.696 0.638 F
0.908 0.111 0.797 F
0.971 0.745 0.226 F
```

Principal peaks in the range 10° ≤ 2θ ≤ 90°, by intensity:
d = 3.229 Å, 27.63°, rel. 100; d = 3.052 Å, 29.26°, rel. 73; d = 2.131 Å, 42.43°, rel. 65; d = 2.319 Å, 38.83°, rel. 57; d = 4.105 Å, 21.65°, rel. 47; d = 1.828 Å, 49.90°, rel. 42; d = 3.513 Å, 25.35°, rel. 41; d = 4.816 Å, 18.42°, rel. 36; d = 2.406 Å, 37.37°, rel. 26; d = 1.768 Å, 51.71°, rel. 23